(1)
For Hf3Ti2Bi2, a cell relaxed with PBE gives the calculated powder X-ray diffraction pattern in this record (a wavelength of 1.5418 Å).

Top 12 peaks for 10° ≤ 2θ ≤ 90°, by angle:
2θ (°)	I/Imax
13.13	18
26.43	27
33.69	100
34.27	39
34.73	29
36.82	18
37.05	21
37.84	24
38.63	19
39.24	18
40.89	38
56.38	14

```
data_Hf3Ti2Bi2
_space_group_name_H-M_alt 'P 1'
_space_group_IT_number 1
_cell_length_a 7.3360
_cell_length_b 7.3360
_cell_length_c 7.3336
_cell_angle_alpha 112.53
_cell_angle_beta 112.53
_cell_angle_gamma 25.71
loop_
_space_group_symop_operation_xyz
'x,y,z'
loop_
_atom_site_label
_atom_site_type_symbol
_atom_site_fract_x
_atom_site_fract_y
_atom_site_fract_z
_atom_site_occupancy
Hf1 Hf 0.0000 0.0000 0.0000 1
Hf2 Hf 0.2904 0.2904 0.7788 1
Hf3 Hf 0.7096 0.7096 0.2212 1
Ti1 Ti 0.1035 0.1035 0.4150 1
Ti2 Ti 0.8965 0.8965 0.5850 1
Bi1 Bi 0.3992 0.3992 0.2372 1
Bi2 Bi 0.6008 0.6008 0.7628 1
```

---

(2)
For Hf3TiBi4, a cell relaxed with PBE gives the calculated powder X-ray diffraction pattern in this record (a wavelength of 1.5418 Å).

Top 12 peaks for 10° ≤ 2θ ≤ 90°, by angle:
2θ (°)	I/Imax
11.13	20
22.36	20
26.51	36
33.02	100
34.12	47
34.24	46
41.89	66
49.12	34
60.39	18
60.54	17
66.41	17
69.06	24

```
data_Hf3TiBi4
_space_group_name_H-M_alt 'P 1'
_space_group_IT_number 1
_cell_length_a 5.2552
_cell_length_b 10.4748
_cell_length_c 7.9526
_cell_angle_alpha 90.00
_cell_angle_beta 90.00
_cell_angle_gamma 90.00
loop_
_space_group_symop_operation_xyz
'x,y,z'
loop_
_atom_site_label
_atom_site_type_symbol
_atom_site_fract_x
_atom_site_fract_y
_atom_site_fract_z
_atom_site_occupancy
Hf1 Hf 0.2500 0.0021 0.1024 1
Hf2 Hf 0.2500 0.4979 0.1024 1
Hf3 Hf 0.2500 0.7500 0.8946 1
Hf4 Hf 0.7500 0.2500 0.1054 1
Hf5 Hf 0.7500 0.5021 0.8976 1
Hf6 Hf 0.7500 0.9979 0.8976 1
Ti1 Ti 0.2500 0.2500 0.9116 1
Ti2 Ti 0.7500 0.7500 0.0884 1
Bi1 Bi 0.2500 0.0096 0.7065 1
Bi2 Bi 0.2500 0.2500 0.3003 1
Bi3 Bi 0.2500 0.4904 0.7065 1
Bi4 Bi 0.2500 0.7500 0.2866 1
Bi5 Bi 0.7500 0.2500 0.7134 1
Bi6 Bi 0.7500 0.5096 0.2935 1
Bi7 Bi 0.7500 0.7500 0.6997 1
Bi8 Bi 0.7500 0.9904 0.2935 1
```

---

(3)
For Hf3Ti3Bi, a cell relaxed with PBE gives the calculated powder X-ray diffraction pattern in this record (a wavelength of 1.5418 Å).

Top 12 peaks for 10° ≤ 2θ ≤ 90°, by angle:
2θ (°)	I/Imax
13.71	12
21.18	15
23.23	14
23.50	17
30.67	16
32.45	19
35.46	34
36.39	48
36.75	100
37.61	49
38.61	40
55.66	15

```
data_Hf3Ti3Bi
_space_group_name_H-M_alt 'P 1'
_space_group_IT_number 1
_cell_length_a 5.9939
_cell_length_b 7.4689
_cell_length_c 7.5642
_cell_angle_alpha 114.82
_cell_angle_beta 101.02
_cell_angle_gamma 100.98
loop_
_space_group_symop_operation_xyz
'x,y,z'
loop_
_atom_site_label
_atom_site_type_symbol
_atom_site_fract_x
_atom_site_fract_y
_atom_site_fract_z
_atom_site_occupancy
Hf1 Hf 0.1054 0.3567 0.2756 1
Hf2 Hf 0.2375 0.9180 0.1717 1
Hf3 Hf 0.2679 0.0821 0.8911 1
Hf4 Hf 0.7321 0.9179 0.1089 1
Hf5 Hf 0.7625 0.0820 0.8283 1
Hf6 Hf 0.8946 0.6433 0.7244 1
Ti1 Ti 0.0979 0.7985 0.4552 1
Ti2 Ti 0.2158 0.4869 0.9627 1
Ti3 Ti 0.3752 0.6903 0.7304 1
Ti4 Ti 0.6248 0.3097 0.2696 1
Ti5 Ti 0.7842 0.5131 0.0373 1
Ti6 Ti 0.9021 0.2015 0.5448 1
Bi1 Bi 0.4303 0.2675 0.6138 1
Bi2 Bi 0.5697 0.7325 0.3862 1
```

---

(4)
For Hf3Ti6Bi, a cell relaxed with PBE gives the calculated powder X-ray diffraction pattern in this record (a wavelength of 1.5418 Å).

Top 12 peaks for 10° ≤ 2θ ≤ 90°, by angle:
2θ (°)	I/Imax
18.87	100
19.22	54
28.60	83
30.97	26
35.29	40
37.70	91
38.27	87
39.41	41
43.16	35
46.86	38
58.90	33
72.83	27

```
data_Hf3Ti6Bi
_space_group_name_H-M_alt 'P 1'
_space_group_IT_number 1
_cell_length_a 6.2910
_cell_length_b 6.2910
_cell_length_c 6.2910
_cell_angle_alpha 72.04
_cell_angle_beta 72.04
_cell_angle_gamma 72.04
loop_
_space_group_symop_operation_xyz
'x,y,z'
loop_
_atom_site_label
_atom_site_type_symbol
_atom_site_fract_x
_atom_site_fract_y
_atom_site_fract_z
_atom_site_occupancy
Hf1 Hf 0.0745 0.4628 0.4628 1
Hf2 Hf 0.4628 0.0745 0.4628 1
Hf3 Hf 0.4628 0.4628 0.0745 1
Ti1 Ti 0.1831 0.8221 0.8221 1
Ti2 Ti 0.2744 0.2744 0.8511 1
Ti3 Ti 0.2744 0.8511 0.2744 1
Ti4 Ti 0.8221 0.1831 0.8221 1
Ti5 Ti 0.8221 0.8221 0.1831 1
Ti6 Ti 0.8511 0.2744 0.2744 1
Bi1 Bi 0.7649 0.7649 0.7649 1
```

---

(5)
For HfTi7Bi2, a cell relaxed with PBE gives the calculated powder X-ray diffraction pattern in this record (a wavelength of 1.5418 Å).

Top 12 peaks for 10° ≤ 2θ ≤ 90°, by angle:
2θ (°)	I/Imax
15.94	9
26.17	100
30.79	8
32.19	31
37.34	58
46.17	45
53.84	39
60.82	21
64.14	12
67.36	13
73.59	24
85.56	13

```
data_HfTi7Bi2
_space_group_name_H-M_alt 'P 1'
_space_group_IT_number 1
_cell_length_a 6.8107
_cell_length_b 6.8107
_cell_length_c 6.8107
_cell_angle_alpha 60.00
_cell_angle_beta 60.00
_cell_angle_gamma 60.00
loop_
_space_group_symop_operation_xyz
'x,y,z'
loop_
_atom_site_label
_atom_site_type_symbol
_atom_site_fract_x
_atom_site_fract_y
_atom_site_fract_z
_atom_site_occupancy
Hf1 Hf 0.0000 0.0000 0.0000 1
Ti1 Ti 0.2581 0.2581 0.7419 1
Ti2 Ti 0.2581 0.7419 0.2581 1
Ti3 Ti 0.2581 0.7419 0.7419 1
Ti4 Ti 0.5000 0.5000 0.5000 1
Ti5 Ti 0.7419 0.2581 0.2581 1
Ti6 Ti 0.7419 0.2581 0.7419 1
Ti7 Ti 0.7419 0.7419 0.2581 1
Bi1 Bi 0.2500 0.2500 0.2500 1
Bi2 Bi 0.7500 0.7500 0.7500 1
```

---

(6)
For Hf5TiBi6, a cell relaxed with PBE gives the calculated powder X-ray diffraction pattern in this record (a wavelength of 1.5418 Å).

Top 12 peaks for 10° ≤ 2θ ≤ 90°, by angle:
2θ (°)	I/Imax
29.90	100
30.69	66
31.91	17
32.69	16
38.79	17
41.28	18
42.93	38
43.81	36
44.26	11
51.54	15
54.82	12
71.49	11

```
data_Hf5TiBi6
_space_group_name_H-M_alt 'P 1'
_space_group_IT_number 1
_cell_length_a 7.1652
_cell_length_b 7.1652
_cell_length_c 7.1893
_cell_angle_alpha 98.28
_cell_angle_beta 98.28
_cell_angle_gamma 117.93
loop_
_space_group_symop_operation_xyz
'x,y,z'
loop_
_atom_site_label
_atom_site_type_symbol
_atom_site_fract_x
_atom_site_fract_y
_atom_site_fract_z
_atom_site_occupancy
Hf1 Hf 0.0000 0.0000 0.0000 1
Hf2 Hf 0.1207 0.8793 0.5000 1
Hf3 Hf 0.2958 0.7042 0.0000 1
Hf4 Hf 0.7042 0.2958 0.0000 1
Hf5 Hf 0.8793 0.1207 0.5000 1
Ti1 Ti 0.5000 0.5000 0.5000 1
Bi1 Bi 0.1078 0.4450 0.2809 1
Bi2 Bi 0.3003 0.3003 0.7974 1
Bi3 Bi 0.4450 0.1078 0.2809 1
Bi4 Bi 0.5550 0.8922 0.7191 1
Bi5 Bi 0.6997 0.6997 0.2026 1
Bi6 Bi 0.8922 0.5550 0.7191 1
```

---

(7)
For HfTi2Bi2, a cell relaxed with PBE gives the calculated powder X-ray diffraction pattern in this record (a wavelength of 1.5418 Å).

Top 12 peaks for 10° ≤ 2θ ≤ 90°, by angle:
2θ (°)	I/Imax
22.84	16
25.10	100
25.16	25
32.10	74
34.22	17
35.86	49
37.17	35
41.49	24
44.23	18
45.40	24
54.61	15
79.22	16

```
data_HfTi2Bi2
_space_group_name_H-M_alt 'P 1'
_space_group_IT_number 1
_cell_length_a 8.8899
_cell_length_b 8.8899
_cell_length_c 8.8899
_cell_angle_alpha 148.42
_cell_angle_beta 133.02
_cell_angle_gamma 57.71
loop_
_space_group_symop_operation_xyz
'x,y,z'
loop_
_atom_site_label
_atom_site_type_symbol
_atom_site_fract_x
_atom_site_fract_y
_atom_site_fract_z
_atom_site_occupancy
Hf1 Hf 0.4396 0.1896 0.2500 1
Hf2 Hf 0.5604 0.8104 0.7500 1
Ti1 Ti 0.1310 0.6969 0.4341 1
Ti2 Ti 0.2371 0.3031 0.9341 1
Ti3 Ti 0.7629 0.6969 0.0659 1
Ti4 Ti 0.8690 0.3031 0.5659 1
Bi1 Bi 0.1253 0.8753 0.2500 1
Bi2 Bi 0.3269 0.5769 0.7500 1
Bi3 Bi 0.6731 0.4231 0.2500 1
Bi4 Bi 0.8747 0.1247 0.7500 1
```

---

(8)
For Hf3TlBi, a cell relaxed with PBE gives the calculated powder X-ray diffraction pattern in this record (a wavelength of 1.5418 Å).

Top 12 peaks for 10° ≤ 2θ ≤ 90°, by angle:
2θ (°)	I/Imax
32.65	12
32.82	58
34.03	24
34.32	44
35.43	100
36.42	37
39.40	20
45.71	24
55.95	12
60.30	17
62.21	8
74.98	9

```
data_Hf3TlBi
_space_group_name_H-M_alt 'P 1'
_space_group_IT_number 1
_cell_length_a 11.9809
_cell_length_b 11.9809
_cell_length_c 3.3981
_cell_angle_alpha 92.42
_cell_angle_beta 92.42
_cell_angle_gamma 86.19
loop_
_space_group_symop_operation_xyz
'x,y,z'
loop_
_atom_site_label
_atom_site_type_symbol
_atom_site_fract_x
_atom_site_fract_y
_atom_site_fract_z
_atom_site_occupancy
Hf1 Hf 0.0057 0.8533 0.9496 1
Hf2 Hf 0.0854 0.5778 0.7605 1
Hf3 Hf 0.1467 0.9943 0.5504 1
Hf4 Hf 0.2678 0.4446 0.2317 1
Hf5 Hf 0.4222 0.9146 0.7395 1
Hf6 Hf 0.4446 0.2678 0.7317 1
Hf7 Hf 0.5554 0.7322 0.2683 1
Hf8 Hf 0.5778 0.0854 0.2605 1
Hf9 Hf 0.7322 0.5554 0.7683 1
Hf10 Hf 0.8533 0.0057 0.4496 1
Hf11 Hf 0.9146 0.4222 0.2395 1
Hf12 Hf 0.9943 0.1467 0.0504 1
Tl1 Tl 0.2388 0.7612 0.2500 1
Tl2 Tl 0.4132 0.5868 0.7500 1
Tl3 Tl 0.5868 0.4132 0.2500 1
Tl4 Tl 0.7612 0.2388 0.7500 1
Bi1 Bi 0.1136 0.3145 0.6761 1
Bi2 Bi 0.3145 0.1136 0.1761 1
Bi3 Bi 0.6855 0.8864 0.8239 1
Bi4 Bi 0.8864 0.6855 0.3239 1
```

---

(9)
For Hf4TlBi, a cell relaxed with PBE gives the calculated powder X-ray diffraction pattern in this record (a wavelength of 1.5418 Å).

Top 12 peaks for 10° ≤ 2θ ≤ 90°, by angle:
2θ (°)	I/Imax
25.68	1
34.25	59
36.39	100
49.22	21
55.48	8
62.73	42
66.84	17
72.11	3
72.22	3
77.30	12
82.36	10
83.61	10

```
data_Hf4TlBi
_space_group_name_H-M_alt 'P 1'
_space_group_IT_number 1
_cell_length_a 5.6172
_cell_length_b 5.6172
_cell_length_c 5.2327
_cell_angle_alpha 90.00
_cell_angle_beta 90.00
_cell_angle_gamma 124.40
loop_
_space_group_symop_operation_xyz
'x,y,z'
loop_
_atom_site_label
_atom_site_type_symbol
_atom_site_fract_x
_atom_site_fract_y
_atom_site_fract_z
_atom_site_occupancy
Hf1 Hf 0.1656 0.8344 0.0000 1
Hf2 Hf 0.3330 0.6670 0.5000 1
Hf3 Hf 0.6670 0.3330 0.5000 1
Hf4 Hf 0.8344 0.1656 0.0000 1
Tl1 Tl 0.0000 0.0000 0.5000 1
Bi1 Bi 0.5000 0.5000 0.0000 1
```

---

(10)
For HfZr5Bi5, a cell relaxed with PBE gives the calculated powder X-ray diffraction pattern in this record (a wavelength of 1.5418 Å).

Top 12 peaks for 10° ≤ 2θ ≤ 90°, by angle:
2θ (°)	I/Imax
25.79	30
26.91	38
28.14	62
30.71	23
31.28	100
32.03	85
34.56	32
37.32	43
42.57	42
44.44	29
45.38	65
55.48	28

```
data_HfZr5Bi5
_space_group_name_H-M_alt 'P 1'
_space_group_IT_number 1
_cell_length_a 6.8791
_cell_length_b 6.8791
_cell_length_c 8.7391
_cell_angle_alpha 101.83
_cell_angle_beta 101.83
_cell_angle_gamma 49.13
loop_
_space_group_symop_operation_xyz
'x,y,z'
loop_
_atom_site_label
_atom_site_type_symbol
_atom_site_fract_x
_atom_site_fract_y
_atom_site_fract_z
_atom_site_occupancy
Hf1 Hf 0.0000 0.0000 0.0000 1
Zr1 Zr 0.0000 0.0000 0.5000 1
Zr2 Zr 0.3115 0.3115 0.6058 1
Zr3 Zr 0.4211 0.4211 0.3228 1
Zr4 Zr 0.5789 0.5789 0.6772 1
Zr5 Zr 0.6885 0.6885 0.3942 1
Bi1 Bi 0.1682 0.1682 0.2895 1
Bi2 Bi 0.1687 0.1687 0.8252 1
Bi3 Bi 0.5000 0.5000 0.0000 1
Bi4 Bi 0.8313 0.8313 0.1748 1
Bi5 Bi 0.8318 0.8318 0.7105 1
```

---

(11)
For HfZr3Bi, a cell relaxed with PBE gives the calculated powder X-ray diffraction pattern in this record (a wavelength of 1.5418 Å).

Top 12 peaks for 10° ≤ 2θ ≤ 90°, by angle:
2θ (°)	I/Imax
18.48	18
32.51	12
32.64	16
32.85	13
35.01	100
37.06	47
37.17	47
48.58	19
62.80	12
64.18	19
67.14	9
71.02	13

```
data_HfZr3Bi
_space_group_name_H-M_alt 'P 1'
_space_group_IT_number 1
_cell_length_a 6.6955
_cell_length_b 5.1255
_cell_length_c 13.9990
_cell_angle_alpha 90.00
_cell_angle_beta 101.49
_cell_angle_gamma 90.00
loop_
_space_group_symop_operation_xyz
'x,y,z'
loop_
_atom_site_label
_atom_site_type_symbol
_atom_site_fract_x
_atom_site_fract_y
_atom_site_fract_z
_atom_site_occupancy
Hf1 Hf 0.1570 0.2500 0.0320 1
Hf2 Hf 0.2786 0.7500 0.5684 1
Hf3 Hf 0.7214 0.2500 0.4316 1
Hf4 Hf 0.8430 0.7500 0.9680 1
Zr1 Zr 0.0519 0.2500 0.6194 1
Zr2 Zr 0.1068 0.7500 0.1745 1
Zr3 Zr 0.2207 0.2500 0.4286 1
Zr4 Zr 0.3360 0.7500 0.9662 1
Zr5 Zr 0.3935 0.2500 0.8272 1
Zr6 Zr 0.4548 0.7500 0.3806 1
Zr7 Zr 0.5452 0.2500 0.6194 1
Zr8 Zr 0.6065 0.7500 0.1728 1
Zr9 Zr 0.6640 0.2500 0.0338 1
Zr10 Zr 0.7793 0.7500 0.5714 1
Zr11 Zr 0.8932 0.2500 0.8255 1
Zr12 Zr 0.9481 0.7500 0.3806 1
Bi1 Bi 0.0945 0.7500 0.7628 1
Bi2 Bi 0.4063 0.2500 0.2358 1
Bi3 Bi 0.5937 0.7500 0.7642 1
Bi4 Bi 0.9055 0.2500 0.2372 1
```

---

(12)
For Hf5ZrBi4, a cell relaxed with PBE gives the calculated powder X-ray diffraction pattern in this record (a wavelength of 1.5418 Å).

Top 12 peaks for 10° ≤ 2θ ≤ 90°, by angle:
2θ (°)	I/Imax
25.63	17
27.47	12
30.37	20
30.90	28
31.14	17
32.52	13
34.14	33
34.33	40
35.20	22
36.90	61
38.37	100
59.07	18

```
data_Hf5ZrBi4
_space_group_name_H-M_alt 'P 1'
_space_group_IT_number 1
_cell_length_a 8.9601
_cell_length_b 10.4489
_cell_length_c 5.5068
_cell_angle_alpha 90.00
_cell_angle_beta 90.00
_cell_angle_gamma 90.00
loop_
_space_group_symop_operation_xyz
'x,y,z'
loop_
_atom_site_label
_atom_site_type_symbol
_atom_site_fract_x
_atom_site_fract_y
_atom_site_fract_z
_atom_site_occupancy
Hf1 Hf 0.0845 0.9999 0.2443 1
Hf2 Hf 0.0845 0.5001 0.2443 1
Hf3 Hf 0.2500 0.2500 0.1583 1
Hf4 Hf 0.4155 0.9999 0.2443 1
Hf5 Hf 0.4155 0.5001 0.2443 1
Hf6 Hf 0.5845 0.0001 0.7557 1
Hf7 Hf 0.5845 0.4999 0.7557 1
Hf8 Hf 0.7500 0.7500 0.8417 1
Hf9 Hf 0.9155 0.0001 0.7557 1
Hf10 Hf 0.9155 0.4999 0.7557 1
Zr1 Zr 0.2500 0.7500 0.0284 1
Zr2 Zr 0.7500 0.2500 0.9716 1
Bi1 Bi 0.0552 0.7500 0.5452 1
Bi2 Bi 0.2500 0.0577 0.7407 1
Bi3 Bi 0.2500 0.4423 0.7407 1
Bi4 Bi 0.4448 0.7500 0.5452 1
Bi5 Bi 0.5552 0.2500 0.4548 1
Bi6 Bi 0.7500 0.5577 0.2593 1
Bi7 Bi 0.7500 0.9423 0.2593 1
Bi8 Bi 0.9448 0.2500 0.4548 1
```

---

(13)
For HfZr6Bi, a cell relaxed with PBE gives the calculated powder X-ray diffraction pattern in this record (a wavelength of 1.5418 Å).

Top 12 peaks for 10° ≤ 2θ ≤ 90°, by angle:
2θ (°)	I/Imax
32.00	19
32.66	17
34.44	36
36.46	100
37.05	36
47.72	12
48.20	12
57.87	15
63.03	20
67.98	10
69.11	17
69.61	11

```
data_HfZr6Bi
_space_group_name_H-M_alt 'P 1'
_space_group_IT_number 1
_cell_length_a 5.2076
_cell_length_b 6.3753
_cell_length_c 6.3753
_cell_angle_alpha 61.33
_cell_angle_beta 90.00
_cell_angle_gamma 90.00
loop_
_space_group_symop_operation_xyz
'x,y,z'
loop_
_atom_site_label
_atom_site_type_symbol
_atom_site_fract_x
_atom_site_fract_y
_atom_site_fract_z
_atom_site_occupancy
Hf1 Hf 0.0000 0.0000 0.0000 1
Zr1 Zr 0.0000 0.0062 0.4992 1
Zr2 Zr 0.0000 0.4992 0.0062 1
Zr3 Zr 0.5000 0.1753 0.1753 1
Zr4 Zr 0.5000 0.1823 0.6851 1
Zr5 Zr 0.5000 0.6851 0.1823 1
Zr6 Zr 0.5000 0.6869 0.6869 1
Bi1 Bi 0.0000 0.5056 0.5056 1
```